Record 1
Starting from a PBE-relaxed structure, the powder diffractogram of Er3Mg12Ag was computed for Cu Kα, 1.54184 Å.

Crystal structure
Unit cell a=4.6149 b=4.6149 c=17.8978 alpha=90.00 beta=90.00 gamma=90.00
Element x y z (fractional)
Er: 0.0000 0.0000 0.0000
Er: 0.0000 0.0000 0.2651
Er: 0.0000 0.0000 0.7349
Mg: 0.0000 0.5000 0.1331
Mg: 0.0000 0.5000 0.3943
Mg: 0.0000 0.5000 0.6057
Mg: 0.0000 0.5000 0.8669
Mg: 0.5000 0.0000 0.1331
Mg: 0.5000 0.0000 0.3943
Mg: 0.5000 0.0000 0.6057
Mg: 0.5000 0.0000 0.8669
Mg: 0.5000 0.5000 0.0000
Mg: 0.5000 0.5000 0.2693
Mg: 0.5000 0.5000 0.5000
Mg: 0.5000 0.5000 0.7307
Ag: 0.0000 0.0000 0.5000

Main lines, sorted by position (10 to 90 degrees two-theta):
d (Å)  I/Imax
4.615  68
4.474  30
3.263  29
3.212  53
2.637  100
2.307  38
1.874  23
1.387  26


Record 2
Starting from a PBE-relaxed structure, the powder diffractogram of Er3Mg2Ag3 was computed for Cu Kα, 1.54184 Å.

Crystal structure
Unit cell a=3.5116 b=5.1673 c=20.5762 alpha=90.00 beta=90.00 gamma=90.00
Element x y z (fractional)
Er: 0.0000 0.0000 0.0000
Er: 0.0000 0.5000 0.1233
Er: 0.0000 0.5000 0.8767
Er: 0.5000 0.0000 0.3767
Er: 0.5000 0.0000 0.6233
Er: 0.5000 0.5000 0.5000
Mg: 0.0000 0.0000 0.2354
Mg: 0.0000 0.0000 0.7646
Mg: 0.5000 0.5000 0.2646
Mg: 0.5000 0.5000 0.7354
Ag: 0.0000 0.0000 0.5000
Ag: 0.0000 0.5000 0.3748
Ag: 0.0000 0.5000 0.6252
Ag: 0.5000 0.0000 0.1252
Ag: 0.5000 0.0000 0.8748
Ag: 0.5000 0.5000 0.0000

Main lines, sorted by position (10 to 90 degrees two-theta):
d (Å)  I/Imax
5.144  10
2.584  27
2.572  26
2.529  100
1.823  18
1.481  19
1.477  17
1.265  11


Record 3
Starting from a PBE-relaxed structure, the powder diffractogram of ErMg9Ag2 was computed for Cu Kα, 1.54184 Å.

Crystal structure
Unit cell a=9.2294 b=9.2294 c=9.2294 alpha=99.63 beta=99.63 gamma=131.72
Element x y z (fractional)
Er: 0.3750 0.6250 0.7500
Er: 0.6250 0.3750 0.2500
Mg: 0.1250 0.8750 0.2500
Mg: 0.1278 0.5581 0.3267
Mg: 0.1278 0.8011 0.5698
Mg: 0.1989 0.2687 0.3267
Mg: 0.1989 0.8722 0.9302
Mg: 0.2687 0.1989 0.8267
Mg: 0.2687 0.4419 0.0698
Mg: 0.4419 0.2687 0.5698
Mg: 0.4419 0.8722 0.1733
Mg: 0.5581 0.1278 0.8267
Mg: 0.5581 0.7313 0.4302
Mg: 0.7313 0.5581 0.9302
Mg: 0.7313 0.8011 0.1733
Mg: 0.8011 0.1278 0.0698
Mg: 0.8011 0.7313 0.6733
Mg: 0.8722 0.1989 0.4302
Mg: 0.8722 0.4419 0.6733
Mg: 0.8750 0.1250 0.7500
Ag: 0.0000 0.0000 0.0000
Ag: 0.0000 0.0000 0.5000
Ag: 0.0000 0.5000 0.0000
Ag: 0.5000 0.0000 0.5000

Main lines, sorted by position (10 to 90 degrees two-theta):
d (Å)  I/Imax
4.352  100
3.026  68
2.978  33
2.665  87
2.462  29
2.176  36
1.896  31
1.332  29


Record 4
Starting from a PBE-relaxed structure, the powder diffractogram of ErMg3Ag2 was computed for Cu Kα, 1.54184 Å.

Crystal structure
Unit cell a=8.3342 b=8.3342 c=8.3295 alpha=112.95 beta=112.95 gamma=30.86
Element x y z (fractional)
Er: 0.1185 0.1185 0.1484
Er: 0.8815 0.8815 0.8516
Mg: 0.0485 0.0485 0.6903
Mg: 0.3136 0.3136 0.1036
Mg: 0.3470 0.3470 0.5092
Mg: 0.6530 0.6530 0.4908
Mg: 0.6864 0.6864 0.8964
Mg: 0.9515 0.9515 0.3097
Ag: 0.2331 0.2331 0.7211
Ag: 0.4950 0.4950 0.1627
Ag: 0.5050 0.5050 0.8373
Ag: 0.7669 0.7669 0.2789

Main lines, sorted by position (10 to 90 degrees two-theta):
d (Å)  I/Imax
7.618  79
6.851  96
3.287  52
2.910  61
2.758  97
2.602  100
2.217  56
2.165  56


Record 5
Starting from a PBE-relaxed structure, the powder diffractogram of Nd2Er2Ag3 was computed for Cu Kα, 1.54184 Å.

Crystal structure
Unit cell a=5.0992 b=5.1132 c=8.9773 alpha=90.04 beta=106.41 gamma=119.90
Element x y z (fractional)
Nd: 0.2485 0.3735 0.1209
Nd: 0.7515 0.6265 0.8791
Er: 0.2498 0.8752 0.6252
Er: 0.7502 0.1248 0.3748
Ag: 0.0090 0.7543 0.2641
Ag: 0.5000 0.5000 0.5000
Ag: 0.9910 0.2457 0.7359

Main lines, sorted by position (10 to 90 degrees two-theta):
d (Å)  I/Imax
3.633  21
2.583  100
2.557  66
2.550  33
1.815  23
1.497  17
1.481  23
1.478  18


Record 6
Starting from a PBE-relaxed structure, the powder diffractogram of NdEr2Ag3 was computed for Cu Kα, 1.54184 Å.

Crystal structure
Unit cell a=3.6220 b=3.6220 c=11.1365 alpha=90.00 beta=90.00 gamma=90.00
Element x y z (fractional)
Nd: 0.0000 0.0000 0.0000
Er: 0.0000 0.0000 0.3384
Er: 0.0000 0.0000 0.6616
Ag: 0.5000 0.5000 0.1834
Ag: 0.5000 0.5000 0.5000
Ag: 0.5000 0.5000 0.8166

Main lines, sorted by position (10 to 90 degrees two-theta):
d (Å)  I/Imax
2.592  100
2.561  50
1.856  8
1.811  17
1.503  17
1.485  35
1.296  10
1.145  8


Record 7
Starting from a PBE-relaxed structure, the powder diffractogram of PrNdErAg was computed for Cu Kα, 1.54184 Å.

Crystal structure
Unit cell a=3.6846 b=3.6846 c=8.7711 alpha=90.00 beta=90.00 gamma=90.00
Element x y z (fractional)
Pr: 0.0000 0.0000 0.0000
Nd: 0.5000 0.5000 0.7024
Er: 0.5000 0.5000 0.2865
Ag: 0.0000 0.0000 0.4740

Main lines, sorted by position (10 to 90 degrees two-theta):
d (Å)  I/Imax
2.821  100
2.605  48
2.290  8
1.945  9
1.842  17
1.678  12
1.584  9
1.542  32


Record 8
Starting from a PBE-relaxed structure, the powder diffractogram of NdSmErAg was computed for Cu Kα, 1.54184 Å.

Crystal structure
Unit cell a=3.6399 b=3.6399 c=8.8371 alpha=90.00 beta=90.00 gamma=90.00
Element x y z (fractional)
Nd: 0.0000 0.0000 0.0000
Sm: 0.5000 0.5000 0.7051
Er: 0.5000 0.5000 0.2878
Ag: 0.0000 0.0000 0.4812

Main lines, sorted by position (10 to 90 degrees two-theta):
d (Å)  I/Imax
2.809  100
2.574  46
2.209  8
1.938  8
1.820  16
1.676  13
1.590  8
1.527  31


Q: Number 4 is which compound?
A: ErMg3Ag2